[1]
Theoretical powder XRD pattern
Compound: AcCu2PtO8
Radiation: Cu Kα X-rays
Structure: a structure optimized by DFT (GGA-PBE)

Atomic structure:
Lattice parameters (Å, degrees): 7.131 7.131 6.517 90.00 90.00 90.00
Space group I-4m2 (No. 119)
Asymmetric unit:
Ac: 0.000 0.000 0.000 x2
Cu: 0.000 0.000 0.500 x2
Cu: 0.000 0.500 0.250 x2
Pt: 0.000 0.500 0.750 x2
O: 0.000 0.202 0.688 x8
O: 0.000 0.347 0.019 x8

Most intense lines, 2θ = 10–90°, by angle:
(1 0 1), 18.4 deg, d = 4.811 Å, intensity 49
(2 0 0), 25.0 deg, d = 3.565 Å, intensity 100
(2 1 1), 31.2 deg, d = 2.864 Å, intensity 15
(1 1 2), 32.7 deg, d = 2.737 Å, intensity 74
(2 2 0), 35.6 deg, d = 2.521 Å, intensity 27
(3 1 2), 49.1 deg, d = 1.854 Å, intensity 63
(4 0 0), 51.2 deg, d = 1.783 Å, intensity 15
(4 2 0), 57.8 deg, d = 1.595 Å, intensity 15
(3 3 2), 62.1 deg, d = 1.494 Å, intensity 19
(2 0 4), 62.7 deg, d = 1.482 Å, intensity 15
(5 1 2), 73.7 deg, d = 1.285 Å, intensity 15
(5 3 2), 84.6 deg, d = 1.145 Å, intensity 13



[2]
Theoretical powder XRD pattern
Compound: NaZnCd11
Radiation: Cu Kα X-rays
Structure: a structure optimized by DFT (GGA-PBE)

Atomic structure:
Lattice parameters (Å, degrees): 5.897 14.281 7.678 90.00 111.96 90.00
Space group C2/m (No. 12)
Asymmetric unit:
Na: 0.000 0.000 0.000 x2
Zn: 0.000 0.000 0.500 x2
Cd: 0.000 0.500 0.500 x2
Cd: 0.122 0.395 0.217 x8
Cd: 0.167 0.173 0.355 x8
Cd: 0.250 0.250 0.000 x4

Most intense lines, 2θ = 10–90°, by angle:
(0 2 0), 12.4 deg, d = 7.134 Å, intensity 25
(0 2 1), 17.6 deg, d = 5.042 Å, intensity 25
(1 3 1), 30.5 deg, d = 2.930 Å, intensity 26
(2 2 0), 35.1 deg, d = 2.554 Å, intensity 33
(2 2 -2), 35.4 deg, d = 2.535 Å, intensity 86
(0 4 2), 35.6 deg, d = 2.523 Å, intensity 100
(1 1 -3), 35.7 deg, d = 2.514 Å, intensity 34
(2 0 1), 39.5 deg, d = 2.283 Å, intensity 37
(2 4 -1), 39.6 deg, d = 2.273 Å, intensity 65
(1 3 2), 39.8 deg, d = 2.265 Å, intensity 34
(2 0 -3), 39.9 deg, d = 2.258 Å, intensity 78
(0 2 3), 40.0 deg, d = 2.252 Å, intensity 49



[3]
Theoretical powder XRD pattern
Compound: Nb6AlV
Radiation: Cu Kα X-rays
Structure: a structure optimized by DFT (GGA-PBE)

Atomic structure:
Lattice parameters (Å, degrees): 6.676 9.173 4.552 90.00 90.00 90.00
Space group Cmmm (No. 65)
Asymmetric unit:
Nb: 0.000 0.241 0.000 x4
Nb: 0.229 0.500 0.000 x4
Nb: 0.250 0.250 0.500 x4
Al: 0.000 0.000 0.500 x2
V: 0.000 0.500 0.500 x2

Most intense lines, 2θ = 10–90°, by angle:
(0 0 1), 19.5 deg, d = 4.552 Å, intensity 5
(2 0 1), 33.2 deg, d = 2.695 Å, intensity 5
(2 2 1), 38.8 deg, d = 2.322 Å, intensity 100
(0 4 0), 39.3 deg, d = 2.293 Å, intensity 24
(0 0 2), 39.6 deg, d = 2.276 Å, intensity 24
(4 0 0), 55.0 deg, d = 1.669 Å, intensity 8
(0 4 2), 57.0 deg, d = 1.615 Å, intensity 16
(4 4 0), 69.7 deg, d = 1.349 Å, intensity 8
(4 0 2), 69.9 deg, d = 1.346 Å, intensity 8
(2 6 1), 70.9 deg, d = 1.329 Å, intensity 16
(2 2 3), 71.3 deg, d = 1.323 Å, intensity 16
(4 4 2), 83.2 deg, d = 1.161 Å, intensity 10



[4]
Theoretical powder XRD pattern
Compound: CePu3N6
Radiation: Cu Kα X-rays
Structure: a structure optimized by DFT (GGA-PBE)

Atomic structure:
Lattice parameters (Å, degrees): 7.565 10.943 3.612 90.00 90.00 90.00
Space group Cmmm (No. 65)
Asymmetric unit:
Ce: 0.000 0.000 0.000 x2
Pu: 0.000 0.500 0.000 x2
Pu: 0.250 0.250 0.500 x4
N: 0.000 0.149 0.500 x4
N: 0.207 0.373 0.000 x8

Most intense lines, 2θ = 10–90°, by angle:
(2 2 0), 28.7 deg, d = 3.111 Å, intensity 100
(0 2 1), 29.6 deg, d = 3.014 Å, intensity 95
(0 4 0), 32.7 deg, d = 2.736 Å, intensity 30
(2 0 1), 34.3 deg, d = 2.612 Å, intensity 53
(2 4 1), 48.2 deg, d = 1.890 Å, intensity 72
(0 0 2), 50.5 deg, d = 1.806 Å, intensity 13
(2 6 0), 56.0 deg, d = 1.643 Å, intensity 17
(0 6 1), 56.5 deg, d = 1.628 Å, intensity 16
(4 2 1), 57.5 deg, d = 1.602 Å, intensity 31
(2 2 2), 59.2 deg, d = 1.562 Å, intensity 27
(4 6 1), 77.3 deg, d = 1.234 Å, intensity 13
(2 6 2), 78.8 deg, d = 1.215 Å, intensity 13



[5]
Theoretical powder XRD pattern
Compound: Nd9DySc2
Radiation: Cu Kα X-rays
Structure: a structure optimized by DFT (GGA-PBE)

Atomic structure:
Lattice parameters (Å, degrees): 5.084 5.084 15.272 90.00 90.00 90.00
Space group P4/mmm (No. 123)
Asymmetric unit:
Nd: 0.000 0.000 0.000 x1
Nd: 0.000 0.000 0.336 x2
Nd: 0.000 0.500 0.171 x4
Nd: 0.000 0.500 0.500 x2
Dy: 0.500 0.500 0.000 x1
Sc: 0.500 0.500 0.335 x2

Most intense lines, 2θ = 10–90°, by angle:
(1 0 0), 17.4 deg, d = 5.086 Å, intensity 4
(1 1 0), 24.8 deg, d = 3.597 Å, intensity 3
(1 1 3), 30.4 deg, d = 2.937 Å, intensity 100
(2 0 0), 35.3 deg, d = 2.543 Å, intensity 50
(2 1 0), 39.6 deg, d = 2.275 Å, intensity 2
(2 2 0), 50.8 deg, d = 1.798 Å, intensity 36
(3 1 3), 60.4 deg, d = 1.534 Å, intensity 42
(2 2 6), 63.3 deg, d = 1.468 Å, intensity 12
(4 0 0), 74.7 deg, d = 1.271 Å, intensity 4
(3 3 3), 82.7 deg, d = 1.167 Å, intensity 17
(4 0 6), 85.3 deg, d = 1.138 Å, intensity 10
(4 2 0), 85.4 deg, d = 1.137 Å, intensity 5



Question: Which formula does entry 2 have?
Answer: NaZnCd11